LiPrZn: calculated X-ray powder pattern (λ = 1.5418 Å (Cu Kα)), based on the PBE geometry in Alexandria.
Kinematic intensities with the Lorentz-polarization factor, no thermal factor.

Most intense lines, 10 to 80 degrees two-theta, low angle first:
- (1 0 0), 21.2°, 4.199 Å, I 66
- (1 0 1), 34.2°, 2.620 Å, I 100
- (1 1 0), 37.1°, 2.424 Å, I 54
- (2 0 0), 43.1°, 2.099 Å, I 10
- (2 0 1), 51.3°, 1.779 Å, I 31
- (2 1 0), 58.1°, 1.587 Å, I 9
- (1 0 2), 59.4°, 1.557 Å, I 8
- (2 1 1), 65.0°, 1.434 Å, I 30
- (3 0 0), 66.8°, 1.400 Å, I 9
- (1 1 2), 68.0°, 1.379 Å, I 18

Structure:
```
LiPrZn
1.0
4.848 0.000 0.000
-2.424 4.199 0.000
0.000 0.000 3.353
Li Pr Zn
1 1 1
Cartesian
0.000 0.000 0.000
0.000 2.799 1.677
2.424 1.400 0.000
```